1.
For CaSb3Ru, DFT lattice parameters and positions (PBE) gives the simulated powder diffractogram in this record (Cu Kα (λ = 1.5418 Å)).
Neutral-atom scattering factors, no anomalous dispersion.

Lattice parameters (Å, degrees): 5.222 5.222 5.222 90.00 90.00 90.00
Sites, in units of the cell vectors:
Ca1 0.000 0.000 0.000
Sb1 0.000 0.500 0.500
Sb2 0.500 0.000 0.500
Sb3 0.500 0.500 0.000
Ru1 0.500 0.500 0.500

The 12 most intense peaks (2θ from 15° to 90°), low angle first:
d 5.222, I 73; d 3.015, I 70; d 2.611, I 100; d 2.335, I 37; d 1.846, I 70; d 1.741, I 19; d 1.575, I 29; d 1.508, I 24; d 1.306, I 11; d 1.267, I 11; d 1.198, I 12; d 1.168, I 31

=====

2.
For Pm2Ho4Th3, DFT lattice parameters and positions (PBE) gives the simulated powder diffractogram in this record (Cu Kα (λ = 1.5418 Å)).
Neutral-atom scattering factors, no anomalous dispersion.

Lattice parameters (Å, degrees): 3.566 3.566 26.597 90.00 90.00 120.00
Sites, in units of the cell vectors:
Pm1 0.000 0.000 0.000
Pm2 0.000 0.000 0.222
Ho1 0.000 0.000 0.349
Ho2 0.000 0.000 0.566
Ho3 0.333 0.667 0.672
Ho4 0.333 0.667 0.889
Th1 0.000 0.000 0.781
Th2 0.333 0.667 0.112
Th3 0.333 0.667 0.455

The 12 most intense peaks (2θ from 15° to 90°), low angle first:
d 3.088, I 44; d 2.955, I 48; d 2.916, I 13; d 2.801, I 63; d 2.671, I 100; d 2.135, I 29; d 1.783, I 37; d 1.618, I 32; d 1.527, I 41; d 1.483, I 19; d 1.140, I 15; d 1.138, I 12

=====

3.
For La16Sm6Tm7, DFT lattice parameters and positions (PBE) gives the simulated powder diffractogram in this record (Cu Kα (λ = 1.5418 Å)).
Neutral-atom scattering factors, no anomalous dispersion.

Lattice parameters (Å, degrees): 11.349 11.349 11.349 60.00 60.00 60.00
Sites, in units of the cell vectors:
La1 0.038 0.654 0.654
La2 0.120 0.120 0.120
La3 0.120 0.120 0.639
La4 0.120 0.639 0.120
La5 0.346 0.346 0.346
La6 0.346 0.346 0.962
La7 0.346 0.962 0.346
La8 0.361 0.880 0.880
La9 0.639 0.120 0.120
La10 0.654 0.038 0.654
La11 0.654 0.654 0.038
La12 0.654 0.654 0.654
La13 0.880 0.361 0.880
La14 0.880 0.880 0.361
La15 0.880 0.880 0.880
La16 0.962 0.346 0.346
Sm1 0.299 0.299 0.701
Sm2 0.299 0.701 0.299
Sm3 0.299 0.701 0.701
Sm4 0.701 0.299 0.299
Sm5 0.701 0.299 0.701
Sm6 0.701 0.701 0.299
Tm1 0.000 0.000 0.000
Tm2 0.000 0.000 0.500
Tm3 0.000 0.500 0.000
Tm4 0.000 0.500 0.500
Tm5 0.500 0.000 0.000
Tm6 0.500 0.000 0.500
Tm7 0.500 0.500 0.000

The 12 most intense peaks (2θ from 15° to 90°), low angle first:
d 3.276, I 11; d 3.089, I 34; d 2.837, I 100; d 2.675, I 8; d 2.420, I 9; d 2.090, I 13; d 2.006, I 12; d 1.638, I 18; d 1.613, I 10; d 1.552, I 11; d 1.356, I 10; d 1.200, I 10